No. 1
This entry pairs a crystal structure of NaIn2Ag6 with its theoretical PXRD pattern. Radiation: λ = 1.5418 Å (Cu Kα). Structure: a crystal structure in Alexandria, relaxed with PBE.
Intensities are scaled so that the largest is 100.

Atomic structure:
```
NaIn2Ag6
1.0
9.0423 0.0000 0.0000
0.0000 9.0423 0.0000
0.0000 0.0000 4.2801
Na In Ag
2 4 12
Direct
0.0000 0.0000 0.0000 Na
0.5000 0.5000 0.5000 Na
0.1792 0.1792 0.5000 In
0.3208 0.6792 0.0000 In
0.6792 0.3208 0.0000 In
0.8208 0.8208 0.5000 In
0.0055 0.3367 0.0000 Ag
0.1633 0.5055 0.5000 Ag
0.1628 0.8372 0.5000 Ag
0.3367 0.0055 0.0000 Ag
0.3372 0.3372 0.0000 Ag
0.4945 0.8367 0.5000 Ag
0.5055 0.1633 0.5000 Ag
0.6628 0.6628 0.0000 Ag
0.6633 0.9945 0.0000 Ag
0.8372 0.1628 0.5000 Ag
0.8367 0.4945 0.5000 Ag
0.9945 0.6633 0.0000 Ag
```

Largest 6 diffraction maxima, sorted by position, 2θ from 15° to 90°:
| two_theta | intensity |
| --- | --- |
| 36.5 | 100 |
| 42.2 | 17 |
| 42.4 | 32 |
| 61.4 | 20 |
| 73.4 | 12 |
| 73.7 | 22 |

=====

No. 2
This entry pairs a crystal structure of NaIn4Ag4 with its theoretical PXRD pattern. Radiation: λ = 1.5418 Å (Cu Kα). Structure: a crystal structure in Alexandria, relaxed with PBE.
Intensities are scaled so that the largest is 100.

Atomic structure:
```
NaIn4Ag4
1.0
6.4793 0.0000 0.0000
0.0000 6.4793 0.0000
0.0000 0.0000 10.0455
Na In Ag
2 8 8
Direct
0.2500 0.7500 0.2500 Na
0.7500 0.2500 0.7500 Na
0.0136 0.2500 0.0343 In
0.2500 0.0136 0.5343 In
0.2500 0.4864 0.5343 In
0.4864 0.2500 0.0343 In
0.5136 0.7500 0.9657 In
0.7500 0.5136 0.4657 In
0.7500 0.9864 0.4657 In
0.9864 0.7500 0.9657 In
0.0344 0.2500 0.3191 Ag
0.2500 0.0344 0.8191 Ag
0.2500 0.4656 0.8191 Ag
0.4656 0.2500 0.3191 Ag
0.5344 0.7500 0.6809 Ag
0.7500 0.5344 0.1809 Ag
0.7500 0.9656 0.1809 Ag
0.9656 0.7500 0.6809 Ag
```

Largest 6 diffraction maxima, sorted by position, 2θ from 15° to 90°:
| two_theta | intensity |
| --- | --- |
| 16.3 | 47 |
| 29.0 | 26 |
| 32.2 | 51 |
| 38.4 | 35 |
| 38.7 | 100 |
| 39.3 | 55 |

=====

No. 3
This entry pairs a crystal structure of Na3In2Ag7 with its theoretical PXRD pattern. Radiation: λ = 1.5418 Å (Cu Kα). Structure: a crystal structure in Alexandria, relaxed with PBE.
Intensities are scaled so that the largest is 100.

Atomic structure:
```
Na3In2Ag7
1.0
2.8769 1.6610 9.3622
-2.8769 1.6610 9.3622
0.0000 -3.3219 9.3622
Na In Ag
3 2 7
Direct
0.0000 0.0000 0.0000 Na
0.1431 0.1431 0.1431 Na
0.8569 0.8569 0.8569 Na
0.3328 0.3328 0.3328 In
0.6672 0.6672 0.6672 In
0.0832 0.5863 0.5863 Ag
0.4137 0.4137 0.9168 Ag
0.4137 0.9168 0.4137 Ag
0.5000 0.5000 0.5000 Ag
0.5863 0.0832 0.5863 Ag
0.5863 0.5863 0.0832 Ag
0.9168 0.4137 0.4137 Ag
```

Largest 6 diffraction maxima, sorted by position, 2θ from 15° to 90°:
| two_theta | intensity |
| --- | --- |
| 18.1 | 86 |
| 36.7 | 100 |
| 38.5 | 34 |
| 39.6 | 78 |
| 42.7 | 37 |
| 78.0 | 25 |